[1]
Structure and computed X-ray powder pattern of ZrRe2Ni (the GGA-PBE geometry in OQMD; copper Kα).
No peak broadening, texture or thermal motion is included.

The 5 most intense peaks (5° ≤ 2θ ≤ 70°), low angle first:
| 2θ/deg | I (rel.) |
| --- | --- |
| 24.59 | 19 |
| 40.69 | 100 |
| 48.12 | 10 |
| 58.91 | 17 |
| 64.80 | 4 |

Cell and atoms:
Cell lengths 4.4345, 4.4345, 4.4345 Å; angles 60.00, 60.00, 60.00 degrees
Fractional positions:
Zr 0.0000 0.0000 0.0000
Re 0.2500 0.2500 0.2500
Re 0.5000 0.5000 0.5000
Ni 0.7500 0.7500 0.7500


[2]
Structure and computed X-ray powder pattern of PmOF (the GGA-PBE geometry in OQMD; copper Kα).
No peak broadening, texture or thermal motion is included.

The 8 most intense peaks (5° ≤ 2θ ≤ 70°), low angle first:
| 2θ/deg | I (rel.) |
| --- | --- |
| 27.87 | 100 |
| 32.19 | 18 |
| 32.51 | 10 |
| 46.16 | 17 |
| 46.40 | 36 |
| 54.73 | 12 |
| 54.84 | 12 |
| 55.21 | 15 |

Cell and atoms:
Cell lengths 5.5692, 11.1099, 11.0164 Å; angles 90.00, 90.00, 90.00 degrees
Fractional positions:
Pm 0.2145 0.0132 0.1256
Pm 0.2145 0.4868 0.6256
Pm 0.2433 0.2380 0.3757
Pm 0.2433 0.2620 0.8757
Pm 0.2567 0.7380 0.3757
Pm 0.2567 0.7620 0.8757
Pm 0.2855 0.5132 0.1256
Pm 0.2855 0.9868 0.6256
Pm 0.7145 0.0132 0.3744
Pm 0.7145 0.4868 0.8744
Pm 0.7433 0.2380 0.1243
Pm 0.7433 0.2620 0.6243
Pm 0.7567 0.7380 0.1243
Pm 0.7567 0.7620 0.6243
Pm 0.7855 0.5132 0.3744
Pm 0.7855 0.9868 0.8744
O 0.0061 0.6319 0.5043
O 0.0061 0.8681 0.0043
O 0.0140 0.6253 0.2422
O 0.0140 0.8747 0.7422
O 0.4860 0.1253 0.2422
O 0.4860 0.3747 0.7422
O 0.4939 0.1319 0.5043
O 0.4939 0.3681 0.0043
O 0.5061 0.6319 0.9957
O 0.5061 0.8681 0.4957
O 0.5140 0.6253 0.2578
O 0.5140 0.8747 0.7578
O 0.9860 0.1253 0.2578
O 0.9860 0.3747 0.7578
O 0.9939 0.1319 0.9957
O 0.9939 0.3681 0.4957
F 0.0048 0.1248 0.7417
F 0.0048 0.3752 0.2417
F 0.0057 0.6162 0.9927
F 0.0057 0.8838 0.4927
F 0.4943 0.1162 0.9927
F 0.4943 0.3838 0.4927
F 0.4952 0.6248 0.7417
F 0.4952 0.8752 0.2417
F 0.5048 0.1248 0.7583
F 0.5048 0.3752 0.2583
F 0.5057 0.6162 0.5073
F 0.5057 0.8838 0.0073
F 0.9943 0.1162 0.5073
F 0.9943 0.3838 0.0073
F 0.9952 0.6248 0.7583
F 0.9952 0.8752 0.2583


[3]
Structure and computed X-ray powder pattern of Ba4Ag3Ge20 (the GGA-PBE geometry in OQMD; copper Kα).
No peak broadening, texture or thermal motion is included.

The 8 most intense peaks (5° ≤ 2θ ≤ 70°), low angle first:
| 2θ/deg | I (rel.) |
| --- | --- |
| 28.15 | 36 |
| 29.32 | 25 |
| 30.46 | 100 |
| 32.62 | 17 |
| 33.65 | 12 |
| 48.33 | 36 |
| 49.82 | 20 |
| 51.28 | 45 |

Cell and atoms:
Cell lengths 10.9816, 10.9816, 10.9816 Å; angles 90.00, 90.00, 90.00 degrees
Fractional positions:
Ba 0.0000 0.0000 0.0000
Ba 0.0000 0.2500 0.5000
Ba 0.0000 0.7500 0.5000
Ba 0.2500 0.5000 0.0000
Ba 0.5000 0.0000 0.2500
Ba 0.5000 0.0000 0.7500
Ba 0.5000 0.5000 0.5000
Ba 0.7500 0.5000 0.0000
Ag 0.0000 0.5000 0.2500
Ag 0.0000 0.5000 0.7500
Ag 0.2500 0.0000 0.5000
Ag 0.5000 0.2500 0.0000
Ag 0.5000 0.7500 0.0000
Ag 0.7500 0.0000 0.5000
Ge 0.0000 0.3074 0.1153
Ge 0.0000 0.3074 0.8847
Ge 0.0000 0.6926 0.1153
Ge 0.0000 0.6926 0.8847
Ge 0.1153 0.0000 0.3074
Ge 0.1153 0.0000 0.6926
Ge 0.1830 0.1830 0.1830
Ge 0.1830 0.1830 0.8170
Ge 0.1830 0.8170 0.1830
Ge 0.1830 0.8170 0.8170
Ge 0.1926 0.5000 0.3847
Ge 0.1926 0.5000 0.6153
Ge 0.3074 0.1153 0.0000
Ge 0.3074 0.8847 0.0000
Ge 0.3170 0.3170 0.3170
Ge 0.3170 0.3170 0.6830
Ge 0.3170 0.6830 0.3170
Ge 0.3170 0.6830 0.6830
Ge 0.3847 0.1926 0.5000
Ge 0.3847 0.8074 0.5000
Ge 0.5000 0.3847 0.1926
Ge 0.5000 0.3847 0.8074
Ge 0.5000 0.6153 0.1926
Ge 0.5000 0.6153 0.8074
Ge 0.6153 0.1926 0.5000
Ge 0.6153 0.8074 0.5000
Ge 0.6830 0.3170 0.3170
Ge 0.6830 0.3170 0.6830
Ge 0.6830 0.6830 0.3170
Ge 0.6830 0.6830 0.6830
Ge 0.6926 0.1153 0.0000
Ge 0.6926 0.8847 0.0000
Ge 0.8074 0.5000 0.3847
Ge 0.8074 0.5000 0.6153
Ge 0.8170 0.1830 0.1830
Ge 0.8170 0.1830 0.8170
Ge 0.8170 0.8170 0.1830
Ge 0.8170 0.8170 0.8170
Ge 0.8847 0.0000 0.3074
Ge 0.8847 0.0000 0.6926


[4]
Structure and computed X-ray powder pattern of NaSr7Cu8S8F8 (the GGA-PBE geometry in OQMD; copper Kα).
No peak broadening, texture or thermal motion is included.

The 8 most intense peaks (5° ≤ 2θ ≤ 70°), low angle first:
| 2θ/deg | I (rel.) |
| --- | --- |
| 10.23 | 23 |
| 24.92 | 26 |
| 30.78 | 92 |
| 33.93 | 37 |
| 38.56 | 100 |
| 46.28 | 58 |
| 53.77 | 39 |
| 56.61 | 30 |

Cell and atoms:
Cell lengths 7.8476, 7.8476, 8.6434 Å; angles 90.00, 90.00, 90.00 degrees
Fractional positions:
Na 0.0000 0.0000 0.0000
Sr 0.0000 0.5000 0.0310
Sr 0.2479 0.2479 0.6968
Sr 0.2479 0.7521 0.6968
Sr 0.5000 0.0000 0.0310
Sr 0.5000 0.5000 0.0342
Sr 0.7521 0.2479 0.6968
Sr 0.7521 0.7521 0.6968
Cu 0.0000 0.2481 0.3587
Cu 0.0000 0.7519 0.3587
Cu 0.2481 0.0000 0.3587
Cu 0.2516 0.5000 0.3631
Cu 0.5000 0.2516 0.3631
Cu 0.5000 0.7484 0.3631
Cu 0.7484 0.5000 0.3631
Cu 0.7519 0.0000 0.3587
S 0.0000 0.0000 0.5207
S 0.0000 0.5000 0.5216
S 0.2512 0.2512 0.2043
S 0.2512 0.7488 0.2043
S 0.5000 0.0000 0.5216
S 0.5000 0.5000 0.5267
S 0.7488 0.2512 0.2043
S 0.7488 0.7488 0.2043
F 0.0000 0.2524 0.8612
F 0.0000 0.7476 0.8612
F 0.2515 0.5000 0.8633
F 0.2524 0.0000 0.8612
F 0.5000 0.2515 0.8633
F 0.5000 0.7485 0.8633
F 0.7476 0.0000 0.8612
F 0.7485 0.5000 0.8633


[5]
Structure and computed X-ray powder pattern of ZrCuAsIr (the GGA-PBE geometry in OQMD; copper Kα).
No peak broadening, texture or thermal motion is included.

The 8 most intense peaks (5° ≤ 2θ ≤ 70°), low angle first:
| 2θ/deg | I (rel.) |
| --- | --- |
| 24.04 | 19 |
| 27.83 | 5 |
| 39.76 | 100 |
| 47.00 | 10 |
| 49.22 | 2 |
| 57.49 | 17 |
| 63.21 | 4 |
| 65.05 | 2 |

Cell and atoms:
Cell lengths 4.5342, 4.5342, 4.5342 Å; angles 60.00, 60.00, 60.00 degrees
Fractional positions:
Zr 0.0000 0.0000 0.0000
Cu 0.7500 0.7500 0.7500
As 0.5000 0.5000 0.5000
Ir 0.2500 0.2500 0.2500